The following is a computed X-ray powder pattern of Rb2PdI4. It was derived from a GGA-PBE-relaxed structure, using λ = 1.5418 Å (Cu Kα).

Structural model:
```
Rb2PdI4
1.0
0.0000 5.8079 5.8378
4.9403 0.0000 5.8378
4.9403 5.8079 0.0000
Rb Pd I
2 1 4
direct
0.2500 0.2500 0.2500
0.7500 0.7500 0.7500
0.0000 0.0000 0.0000
0.2268 0.2268 0.7732
0.2281 0.7719 0.2281
0.7719 0.2281 0.7719
0.7732 0.7732 0.2268
```

Principal peaks in the range 2θ from 10° to 80°, in order of rising 2θ:
| 2θ (°) | d_spacing | I (rel.) |
| --- | --- | --- |
| 14.00 | 6.326 | 57.5 |
| 17.96 | 4.940 | 48.5 |
| 23.62 | 3.767 | 45.0 |
| 28.21 | 3.163 | 100.0 |
| 30.63 | 2.919 | 37.2 |
| 30.79 | 2.904 | 37.1 |
| 36.37 | 2.470 | 25.9 |
| 43.98 | 2.059 | 24.4 |
| 48.39 | 1.881 | 27.7 |
| 58.35 | 1.581 | 20.8 |